No. 1
Starting from a cell relaxed with PBE, the powder diffractogram of TbPm2PrSm4 was simulated for Cu Kα, 1.54184 Å.

Peak list (10 most intense, 2θ = 10–90°, low angle first)
26.65°, I 52, hkl 0 4 0
29.82°, I 75, hkl 4 0 -2
29.91°, I 39, hkl 4 0 0
40.44°, I 100, hkl 4 4 0
52.93°, I 14, hkl 4 0 2
53.11°, I 8, hkl 8 0 -2
60.23°, I 19, hkl 4 4 2
60.39°, I 10, hkl 8 4 -2
63.74°, I 26, hkl 4 8 0
79.75°, I 8, hkl 4 8 2

Crystal structure
```
data_TbPm2PrSm4
_chemical_formula_sum 'Tb4 Pm8 Pr4 Sm16'
_cell_length_a 13.7953
_cell_length_b 13.3819
_cell_length_c 6.9254
_cell_angle_alpha 90.00
_cell_angle_beta 119.98
_cell_angle_gamma 90.00
_space_group_name_H-M_alt 'C 1 2/c 1'
_space_group_IT_number 15
loop_
_space_group_symop_operation_xyz
'x,y,z'
'-x,-y,-z'
'-x,y,-z+1/2'
'x,-y,z+1/2'
'x+1/2,y+1/2,z'
'-x+1/2,-y+1/2,-z'
'-x+1/2,y+1/2,-z+1/2'
'x+1/2,-y+1/2,z+1/2'
loop_
_atom_site_label
_atom_site_type_symbol
_atom_site_fract_x
_atom_site_fract_y
_atom_site_fract_z
_atom_site_occupancy
Tb1 Tb 0.0000 0.0000 0.0000 1
Pm1 Pm 0.0000 0.5000 0.0000 1
Pm2 Pm 0.2500 0.2500 0.0000 1
Pr1 Pr 0.2500 0.2500 0.5000 1
Sm1 Sm 0.0008 0.2470 0.5018 1
Sm2 Sm 0.2477 0.0008 0.9621 1
```

=====

No. 2
Starting from a cell relaxed with PBE, the powder diffractogram of PmPr2SmTl2 was simulated for Cu Kα, 1.54184 Å.

Peak list (10 most intense, 2θ = 10–90°, low angle first)
28.91°, I 10, hkl 0 3 1
30.92°, I 100, hkl 1 3 0
31.07°, I 15, hkl 0 2 2
32.09°, I 53, hkl 1 1 2
33.61°, I 19, hkl 1 3 1
33.93°, I 38, hkl 2 0 0
36.77°, I 15, hkl 0 3 2
46.66°, I 10, hkl 2 2 2
50.89°, I 12, hkl 2 3 2
58.86°, I 24, hkl 3 3 0

Crystal structure
```
data_PmPr2SmTl2
_chemical_formula_sum 'Pm2 Pr4 Sm2 Tl4'
_cell_length_a 5.2845
_cell_length_b 10.3532
_cell_length_c 6.9263
_cell_angle_alpha 90.00
_cell_angle_beta 90.00
_cell_angle_gamma 90.00
_space_group_name_H-M_alt 'P m c 21'
_space_group_IT_number 26
loop_
_space_group_symop_operation_xyz
'x,y,z'
'-x,-y,z+1/2'
'-x,y,z'
'x,-y,z+1/2'
loop_
_atom_site_label
_atom_site_type_symbol
_atom_site_fract_x
_atom_site_fract_y
_atom_site_fract_z
_atom_site_occupancy
Pm1 Pm 0.0000 0.1818 0.0000 1
Pr1 Pr 0.0000 0.4574 0.3668 1
Pr2 Pr 0.5000 0.3154 0.6339 1
Sm1 Sm 0.5000 0.0420 0.2732 1
Tl1 Tl 0.0000 0.1323 0.5264 1
Tl2 Tl 0.5000 0.3585 0.1082 1
```

=====

No. 3
Starting from a cell relaxed with PBE, the powder diffractogram of PmPrSm2Tl2 was simulated for Cu Kα, 1.54184 Å.

Peak list (10 most intense, 2θ = 10–90°, low angle first)
29.06°, I 13, hkl 0 3 1
30.98°, I 42, hkl 1 0 2
31.14°, I 100, hkl 1 3 0
32.21°, I 65, hkl 1 1 2
33.79°, I 25, hkl 1 3 1
34.12°, I 47, hkl 2 0 0
36.93°, I 19, hkl 0 3 2
51.15°, I 15, hkl 2 3 2
59.11°, I 16, hkl 3 0 2
59.22°, I 13, hkl 3 3 0

Crystal structure
```
data_PmPrSm2Tl2
_chemical_formula_sum 'Pm2 Pr2 Sm4 Tl4'
_cell_length_a 5.2561
_cell_length_b 10.2933
_cell_length_c 6.9082
_cell_angle_alpha 90.00
_cell_angle_beta 90.00
_cell_angle_gamma 90.00
_space_group_name_H-M_alt 'P m c 21'
_space_group_IT_number 26
loop_
_space_group_symop_operation_xyz
'x,y,z'
'-x,-y,z+1/2'
'-x,y,z'
'x,-y,z+1/2'
loop_
_atom_site_label
_atom_site_type_symbol
_atom_site_fract_x
_atom_site_fract_y
_atom_site_fract_z
_atom_site_occupancy
Pm1 Pm 0.0000 0.1861 0.0000 1
Pr1 Pr 0.5000 0.0428 0.2703 1
Sm1 Sm 0.0000 0.4571 0.3645 1
Sm2 Sm 0.5000 0.3180 0.6400 1
Tl1 Tl 0.0000 0.1395 0.5306 1
Tl2 Tl 0.5000 0.3663 0.1097 1
```

=====

No. 4
Starting from a cell relaxed with PBE, the powder diffractogram of Pm2PrSm2Tm was simulated for Cu Kα, 1.54184 Å.

Peak list (10 most intense, 2θ = 10–90°, low angle first)
31.03°, I 94, hkl 2 1 1
31.25°, I 100, hkl 0 2 0
44.62°, I 34, hkl 2 2 2
55.47°, I 36, hkl 2 3 1
55.61°, I 19, hkl 0 3 3
61.58°, I 29, hkl 4 2 0
65.18°, I 12, hkl 0 4 0
73.94°, I 15, hkl 2 4 2
79.29°, I 14, hkl 4 3 3
87.66°, I 11, hkl 4 4 0

Crystal structure
```
data_Pm2PrSm2Tm
_chemical_formula_sum 'Pm4 Pr2 Sm4 Tm2'
_cell_length_a 7.0840
_cell_length_b 5.7244
_cell_length_c 9.9169
_cell_angle_alpha 90.00
_cell_angle_beta 90.00
_cell_angle_gamma 90.00
_space_group_name_H-M_alt 'P m m a'
_space_group_IT_number 51
loop_
_space_group_symop_operation_xyz
'x,y,z'
'-x,-y,-z'
'-x+1/2,-y,z'
'x+1/2,y,-z'
'x+1/2,-y,-z'
'-x+1/2,y,z'
'-x,y,-z'
'x,-y,z'
loop_
_atom_site_label
_atom_site_type_symbol
_atom_site_fract_x
_atom_site_fract_y
_atom_site_fract_z
_atom_site_occupancy
Pm1 Pm 0.2500 0.0000 0.1556 1
Pm2 Pm 0.2500 0.5000 0.6789 1
Pr1 Pr 0.2500 0.0000 0.8261 1
Sm1 Sm 0.0000 0.0000 0.5000 1
Sm2 Sm 0.2500 0.5000 0.3406 1
Tm1 Tm 0.0000 0.5000 0.0000 1
```

=====

No. 5
Starting from a cell relaxed with PBE, the powder diffractogram of PmPr2Sm2Tm2 was simulated for Cu Kα, 1.54184 Å.

Peak list (10 most intense, 2θ = 10–90°, low angle first)
30.27°, I 100, hkl 1 1 2
34.98°, I 17, hkl 2 0 -3
35.09°, I 17, hkl 0 2 0
35.22°, I 17, hkl 4 0 1
50.38°, I 18, hkl 2 0 4
50.58°, I 18, hkl 4 2 1
59.76°, I 7, hkl 1 1 -5
59.97°, I 22, hkl 1 3 2
60.08°, I 7, hkl 5 1 3
60.25°, I 7, hkl 7 1 0

Crystal structure
```
data_PmPr2Sm2Tm2
_chemical_formula_sum 'Pm2 Pr4 Sm4 Tm4'
_cell_length_a 11.3889
_cell_length_b 5.1144
_cell_length_c 8.1176
_cell_angle_alpha 90.00
_cell_angle_beta 98.21
_cell_angle_gamma 90.00
_space_group_name_H-M_alt 'C 1 2/m 1'
_space_group_IT_number 12
loop_
_space_group_symop_operation_xyz
'x,y,z'
'-x,-y,-z'
'-x,y,-z'
'x,-y,z'
'x+1/2,y+1/2,z'
'-x+1/2,-y+1/2,-z'
'-x+1/2,y+1/2,-z'
'x+1/2,-y+1/2,z'
loop_
_atom_site_label
_atom_site_type_symbol
_atom_site_fract_x
_atom_site_fract_y
_atom_site_fract_z
_atom_site_occupancy
Pm1 Pm 0.0000 0.0000 0.0000 1
Pr1 Pr 0.0716 0.5000 0.7182 1
Sm1 Sm 0.1437 0.0000 0.4295 1
Tm1 Tm 0.2149 0.5000 0.1415 1
```

=====

No. 6
Starting from a cell relaxed with PBE, the powder diffractogram of Pm5Pr2SmTm was simulated for Cu Kα, 1.54184 Å.

Peak list (10 most intense, 2θ = 10–90°, low angle first)
28.10°, I 43, hkl 2 1 3
28.89°, I 53, hkl 2 2 0
29.95°, I 100, hkl 2 0 4
34.25°, I 12, hkl 3 1 2
37.50°, I 14, hkl 3 2 1
38.98°, I 12, hkl 2 0 6
42.84°, I 11, hkl 4 0 2
44.38°, I 12, hkl 0 0 8
51.86°, I 26, hkl 4 2 4
53.82°, I 14, hkl 2 2 8

Crystal structure
```
data_Pm5Pr2SmTm
_chemical_formula_sum 'Pm20 Pr8 Sm4 Tm4'
_cell_length_a 8.7412
_cell_length_b 8.7412
_cell_length_c 16.3308
_cell_angle_alpha 90.00
_cell_angle_beta 90.00
_cell_angle_gamma 90.00
_space_group_name_H-M_alt 'I 4/m c m'
_space_group_IT_number 140
_space_group_name_Hall '-I 4 2c'
loop_
_atom_site_label
_atom_site_type_symbol
_atom_site_fract_x
_atom_site_fract_y
_atom_site_fract_z
_atom_site_occupancy
Pm1 Pm 0.0000 0.0000 0.0000 1
Pm2 Pm 0.2149 0.2851 0.1420 1
Pr1 Pr 0.1199 0.3801 0.5000 1
Sm1 Sm 0.0000 0.0000 0.2500 1
Tm1 Tm 0.0000 0.5000 0.2500 1
```